1.
# Li4SnSe4
Theoretical PXRD pattern, Cu Kα. Input: a crystal structure in the Materials Project, relaxed with GGA-PBE.
Kinematic intensities with the Lorentz-polarization factor, no thermal factor.

Largest 10 diffraction maxima, by angle, 2θ from 10° to 90°:
2θ/deg  d/Å  Rel. int.
15.80  5.608  72.0
23.58  3.773  64.7
24.29  3.664  100.0
26.55  3.357  93.6
27.11  3.289  59.7
27.74  3.216  92.8
41.89  2.157  98.2
43.16  2.096  49.7
47.61  1.910  56.3
50.28  1.815  66.8

Atomic structure:
Cell lengths 15.0908, 8.3835, 6.7139 Å; angles 90.00, 90.00, 90.00 degrees
Atoms (fractional coordinates):
Li1 0.0000 0.0000 0.0000
Li2 0.0000 0.5000 0.0000
Li3 0.0882 0.2500 0.3861
Li4 0.1769 0.5054 0.8215
Li5 0.1769 0.9946 0.8215
Li6 0.3231 0.0054 0.3215
Li7 0.3231 0.4946 0.3215
Li8 0.4118 0.7500 0.8861
Li9 0.5000 0.0000 0.5000
Li10 0.5000 0.5000 0.5000
Li11 0.5882 0.2500 0.1139
Li12 0.6769 0.5054 0.6785
Li13 0.6769 0.9946 0.6785
Li14 0.8231 0.0054 0.1785
Li15 0.8231 0.4946 0.1785
Li16 0.9118 0.7500 0.6139
Sn1 0.0926 0.7500 0.3572
Sn2 0.4074 0.2500 0.8572
Sn3 0.5926 0.7500 0.1428
Sn4 0.9074 0.2500 0.6428
Se1 0.0684 0.2500 0.7756
Se2 0.0821 0.7500 0.7368
Se3 0.1604 0.0041 0.2144
Se4 0.1604 0.4959 0.2144
Se5 0.3396 0.5041 0.7144
Se6 0.3396 0.9959 0.7144
Se7 0.4179 0.2500 0.2368
Se8 0.4316 0.7500 0.2756
Se9 0.5684 0.2500 0.7244
Se10 0.5821 0.7500 0.7632
Se11 0.6604 0.0041 0.2856
Se12 0.6604 0.4959 0.2856
Se13 0.8396 0.5041 0.7856
Se14 0.8396 0.9959 0.7856
Se15 0.9179 0.2500 0.2632
Se16 0.9316 0.7500 0.2244

=====

2.
# LiTaSe2
Theoretical PXRD pattern, Cu Kα. Input: a crystal structure in the Materials Project, relaxed with GGA-PBE.
Kinematic intensities with the Lorentz-polarization factor, no thermal factor.

Largest 10 diffraction maxima, by angle, 2θ from 10° to 90°:
2θ/deg  d/Å  Rel. int.
12.95  6.837  90.7
31.94  2.802  100.0
39.43  2.285  81.0
49.82  1.830  30.7
51.53  1.774  31.6
53.36  1.717  15.6
61.91  1.499  15.0
66.78  1.401  23.6
77.56  1.231  18.9
89.04  1.099  16.6

Atomic structure:
Cell lengths 3.5473, 3.5473, 6.8372 Å; angles 90.00, 90.00, 120.00 degrees
Atoms (fractional coordinates):
Li1 0.0000 0.0000 0.0000
Ta1 0.0000 0.0000 0.5000
Se1 0.3333 0.6667 0.7452
Se2 0.6667 0.3333 0.2548

=====

What is the formula in the second record?
LiTaSe2

=====

Repeat the first record exactly.
# Li4SnSe4
Theoretical PXRD pattern, Cu Kα. Input: a crystal structure in the Materials Project, relaxed with GGA-PBE.
Kinematic intensities with the Lorentz-polarization factor, no thermal factor.

Largest 10 diffraction maxima, by angle, 2θ from 10° to 90°:
2θ/deg  d/Å  Rel. int.
15.80  5.608  72.0
23.58  3.773  64.7
24.29  3.664  100.0
26.55  3.357  93.6
27.11  3.289  59.7
27.74  3.216  92.8
41.89  2.157  98.2
43.16  2.096  49.7
47.61  1.910  56.3
50.28  1.815  66.8

Atomic structure:
Cell lengths 15.0908, 8.3835, 6.7139 Å; angles 90.00, 90.00, 90.00 degrees
Atoms (fractional coordinates):
Li1 0.0000 0.0000 0.0000
Li2 0.0000 0.5000 0.0000
Li3 0.0882 0.2500 0.3861
Li4 0.1769 0.5054 0.8215
Li5 0.1769 0.9946 0.8215
Li6 0.3231 0.0054 0.3215
Li7 0.3231 0.4946 0.3215
Li8 0.4118 0.7500 0.8861
Li9 0.5000 0.0000 0.5000
Li10 0.5000 0.5000 0.5000
Li11 0.5882 0.2500 0.1139
Li12 0.6769 0.5054 0.6785
Li13 0.6769 0.9946 0.6785
Li14 0.8231 0.0054 0.1785
Li15 0.8231 0.4946 0.1785
Li16 0.9118 0.7500 0.6139
Sn1 0.0926 0.7500 0.3572
Sn2 0.4074 0.2500 0.8572
Sn3 0.5926 0.7500 0.1428
Sn4 0.9074 0.2500 0.6428
Se1 0.0684 0.2500 0.7756
Se2 0.0821 0.7500 0.7368
Se3 0.1604 0.0041 0.2144
Se4 0.1604 0.4959 0.2144
Se5 0.3396 0.5041 0.7144
Se6 0.3396 0.9959 0.7144
Se7 0.4179 0.2500 0.2368
Se8 0.4316 0.7500 0.2756
Se9 0.5684 0.2500 0.7244
Se10 0.5821 0.7500 0.7632
Se11 0.6604 0.0041 0.2856
Se12 0.6604 0.4959 0.2856
Se13 0.8396 0.5041 0.7856
Se14 0.8396 0.9959 0.7856
Se15 0.9179 0.2500 0.2632
Se16 0.9316 0.7500 0.2244